Entry 1:
The following is a calculated X-ray powder pattern of Na5B8C2. It was derived from a crystal structure in Alexandria, relaxed with PBE, using λ = 1.5418 Å (Cu Kα).

Most intense lines, 2θ from 10° to 90°, most intense first:
d 2.189, 2θ 41.24, intensity 100
d 2.148, 2θ 42.07, intensity 23
d 2.544, 2θ 35.28, intensity 19
d 1.469, 2θ 63.31, intensity 18
d 1.212, 2θ 78.96, intensity 16
d 1.220, 2θ 78.40, intensity 11
d 1.248, 2θ 76.31, intensity 11
d 1.641, 2θ 56.03, intensity 10
d 1.272, 2θ 74.61, intensity 2
d 1.095, 2θ 89.55, intensity 2

Structure:
a = 2.938 Å, b = 2.938 Å, c = 42.955 Å
α = 90.00°, β = 90.00°, γ = 120.00°
Fractional coordinates of all 30 atoms:
Na1 0.000 0.000 0.050
Na2 0.000 0.000 0.149
Na3 0.000 0.000 0.247
Na4 0.000 0.000 0.348
Na5 0.000 0.000 0.449
Na6 0.000 0.000 0.551
Na7 0.000 0.000 0.652
Na8 0.000 0.000 0.753
Na9 0.000 0.000 0.851
Na10 0.000 0.000 0.950
B1 0.333 0.667 0.000
B2 0.333 0.667 0.197
B3 0.333 0.667 0.297
B4 0.333 0.667 0.399
B5 0.333 0.667 0.500
B6 0.333 0.667 0.601
B7 0.333 0.667 0.703
B8 0.333 0.667 0.803
B9 0.667 0.333 0.000
B10 0.667 0.333 0.100
B11 0.667 0.333 0.297
B12 0.667 0.333 0.399
B13 0.667 0.333 0.500
B14 0.667 0.333 0.601
B15 0.667 0.333 0.703
B16 0.667 0.333 0.900
C1 0.333 0.667 0.100
C2 0.333 0.667 0.900
C3 0.667 0.333 0.197
C4 0.667 0.333 0.803

Entry 2:
The following is a calculated X-ray powder pattern of Na5B8C2. It was derived from a crystal structure in Alexandria, relaxed with PBE, using λ = 1.5418 Å (Cu Kα).

Most intense lines, 2θ from 10° to 90°, most intense first:
d 2.187, 2θ 41.28, intensity 100
d 2.205, 2θ 40.92, intensity 50
d 2.163, 2θ 41.76, intensity 37
d 2.535, 2θ 35.41, intensity 19
d 1.474, 2θ 63.05, intensity 17
d 1.218, 2θ 78.51, intensity 17
d 1.216, 2θ 78.66, intensity 11
d 2.563, 2θ 35.01, intensity 10
d 1.646, 2θ 55.87, intensity 10
d 1.458, 2θ 63.82, intensity 8

Structure:
a = 5.126 Å, b = 7.727 Å, c = 9.130 Å
α = 72.48°, β = 89.99°, γ = 70.67°
Fractional coordinates of all 30 atoms:
Na1 0.000 0.000 0.000
Na2 0.098 0.800 0.498
Na3 0.197 0.601 0.997
Na4 0.299 0.401 0.497
Na5 0.400 0.199 0.999
Na6 0.499 0.999 0.499
Na7 0.599 0.800 0.998
Na8 0.699 0.601 0.498
Na9 0.800 0.402 0.995
Na10 0.902 0.200 0.500
B1 0.015 0.288 0.748
B2 0.084 0.498 0.749
B3 0.173 0.300 0.249
B4 0.221 0.918 0.748
B5 0.311 0.696 0.248
B6 0.370 0.911 0.247
B7 0.439 0.483 0.748
B8 0.472 0.701 0.748
B9 0.505 0.300 0.249
B10 0.602 0.113 0.748
B11 0.616 0.494 0.249
B12 0.707 0.905 0.247
B13 0.809 0.107 0.247
B14 0.821 0.700 0.749
B15 0.881 0.903 0.748
B16 0.981 0.689 0.249
C1 0.113 0.106 0.248
C2 0.287 0.105 0.747
C3 0.691 0.296 0.748
C4 0.919 0.494 0.250

Entry 3:
The following is a calculated X-ray powder pattern of Na10B13C7. It was derived from a crystal structure in Alexandria, relaxed with PBE, using λ = 1.5418 Å (Cu Kα).

Most intense lines, 2θ from 10° to 90°, most intense first:
d 2.150, 2θ 42.03, intensity 100
d 2.160, 2θ 41.81, intensity 50
d 2.130, 2θ 42.44, intensity 38
d 1.195, 2θ 80.33, intensity 28
d 2.490, 2θ 36.07, intensity 18
d 1.233, 2θ 77.36, intensity 12
d 1.619, 2θ 56.89, intensity 10
d 2.507, 2θ 35.82, intensity 9
d 1.444, 2θ 64.53, intensity 9
d 1.444, 2θ 64.53, intensity 9

Structure:
a = 5.013 Å, b = 7.599 Å, c = 8.993 Å
α = 107.59°, β = 90.01°, γ = 109.26°
Fractional coordinates of all 30 atoms:
Na1 0.000 0.000 0.000
Na2 0.098 0.197 0.494
Na3 0.198 0.399 0.998
Na4 0.298 0.598 0.496
Na5 0.399 0.799 0.000
Na6 0.499 0.996 0.494
Na7 0.598 0.196 0.998
Na8 0.698 0.397 0.498
Na9 0.799 0.598 0.998
Na10 0.899 0.797 0.494
B1 0.028 0.699 0.747
B2 0.116 0.898 0.247
B3 0.179 0.686 0.247
B4 0.200 0.089 0.748
B5 0.390 0.109 0.247
B6 0.394 0.498 0.747
B7 0.486 0.297 0.748
B8 0.582 0.498 0.247
B9 0.609 0.907 0.747
B10 0.687 0.699 0.747
B11 0.764 0.898 0.247
B12 0.826 0.296 0.747
B13 0.982 0.297 0.247
C1 0.084 0.497 0.746
C2 0.283 0.898 0.747
C3 0.322 0.303 0.247
C4 0.514 0.695 0.247
C5 0.716 0.100 0.247
C6 0.883 0.098 0.748
C7 0.917 0.492 0.247

Entry 4:
The following is a calculated X-ray powder pattern of Na8B15C. It was derived from a crystal structure in Alexandria, relaxed with PBE, using λ = 1.5418 Å (Cu Kα).

Most intense lines, 2θ from 10° to 90°, most intense first:
d 2.233, 2θ 40.39, intensity 100
d 2.220, 2θ 40.63, intensity 52
d 2.163, 2θ 41.75, intensity 35
d 2.607, 2θ 34.40, intensity 22
d 1.497, 2θ 61.97, intensity 18
d 1.231, 2θ 77.53, intensity 17
d 1.248, 2θ 76.28, intensity 12
d 1.262, 2θ 75.30, intensity 12
d 1.665, 2θ 55.17, intensity 11
d 2.587, 2θ 34.68, intensity 9

Structure:
a = 9.165 Å, b = 9.165 Å, c = 5.174 Å
α = 90.00°, β = 90.00°, γ = 141.54°
Fractional coordinates of all 24 atoms:
Na1 0.124 0.375 0.501
Na2 0.125 0.875 0.000
Na3 0.375 0.124 0.501
Na4 0.375 0.625 0.002
Na5 0.625 0.375 0.002
Na6 0.625 0.876 0.501
Na7 0.875 0.125 0.000
Na8 0.876 0.625 0.501
B1 0.000 0.000 0.321
B2 0.000 0.000 0.676
B3 0.000 0.500 0.168
B4 0.000 0.500 0.834
B5 0.250 0.750 0.334
B6 0.250 0.750 0.668
B7 0.252 0.252 0.830
B8 0.263 0.263 0.185
B9 0.500 0.000 0.168
B10 0.500 0.000 0.834
B11 0.500 0.500 0.650
B12 0.737 0.737 0.185
B13 0.748 0.748 0.830
B14 0.750 0.250 0.334
B15 0.750 0.250 0.668
C1 0.500 0.500 0.330

Entry 5:
The following is a calculated X-ray powder pattern of Na5B8C2. It was derived from a crystal structure in Alexandria, relaxed with PBE, using λ = 1.5418 Å (Cu Kα).

Most intense lines, 2θ from 10° to 90°, most intense first:
d 2.154, 2θ 41.93, intensity 100
d 2.258, 2θ 39.93, intensity 49
d 2.167, 2θ 41.69, intensity 38
d 1.494, 2θ 62.12, intensity 18
d 1.230, 2θ 77.62, intensity 17
d 2.483, 2θ 36.17, intensity 16
d 2.646, 2θ 33.88, intensity 14
d 1.249, 2θ 76.26, intensity 13
d 1.633, 2θ 56.36, intensity 9
d 1.194, 2θ 80.47, intensity 9

Structure:
a = 8.666 Å, b = 13.302 Å, c = 13.302 Å
α = 12.13°, β = 90.00°, γ = 90.00°
Fractional coordinates of all 30 atoms:
Na1 0.246 0.000 0.000
Na2 0.250 0.599 0.599
Na3 0.251 0.200 0.200
Na4 0.251 0.801 0.801
Na5 0.252 0.401 0.401
Na6 0.748 0.401 0.401
Na7 0.749 0.200 0.200
Na8 0.749 0.801 0.801
Na9 0.750 0.599 0.599
Na10 0.754 0.000 0.000
B1 0.000 0.071 0.071
B2 0.000 0.270 0.270
B3 0.000 0.333 0.333
B4 0.000 0.466 0.466
B5 0.000 0.531 0.531
B6 0.000 0.662 0.662
B7 0.000 0.728 0.728
B8 0.000 0.876 0.876
B9 0.500 0.064 0.064
B10 0.500 0.127 0.127
B11 0.500 0.275 0.275
B12 0.500 0.342 0.342
B13 0.500 0.523 0.523
B14 0.500 0.670 0.670
B15 0.500 0.734 0.734
B16 0.500 0.933 0.933
C1 0.000 0.131 0.131
C2 0.000 0.934 0.934
C3 0.500 0.464 0.464
C4 0.500 0.872 0.872

Entry 6:
The following is a calculated X-ray powder pattern of Na10B17C3. It was derived from a crystal structure in Alexandria, relaxed with PBE, using λ = 1.5418 Å (Cu Kα).

Most intense lines, 2θ from 10° to 90°, most intense first:
d 2.173, 2θ 41.55, intensity 100
d 2.263, 2θ 39.83, intensity 50
d 2.171, 2θ 41.60, intensity 37
d 1.502, 2θ 61.75, intensity 18
d 2.510, 2θ 35.77, intensity 17
d 2.652, 2θ 33.80, intensity 13
d 1.236, 2θ 77.20, intensity 13
d 1.254, 2θ 75.86, intensity 11
d 1.642, 2θ 56.00, intensity 10
d 1.191, 2θ 80.66, intensity 8

Structure:
a = 5.303 Å, b = 7.599 Å, c = 9.186 Å
α = 75.83°, β = 73.30°, γ = 69.64°
Fractional coordinates of all 30 atoms:
Na1 0.000 0.000 0.000
Na2 0.001 0.498 0.502
Na3 0.201 0.599 0.999
Na4 0.204 0.101 0.495
Na5 0.403 0.199 0.999
Na6 0.403 0.699 0.502
Na7 0.603 0.300 0.499
Na8 0.608 0.800 0.998
Na9 0.803 0.400 0.999
Na10 0.804 0.901 0.496
B1 0.027 0.358 0.249
B2 0.153 0.749 0.249
B3 0.166 0.238 0.749
B4 0.243 0.445 0.749
B5 0.276 0.940 0.249
B6 0.333 0.851 0.749
B7 0.352 0.360 0.249
B8 0.459 0.039 0.749
B9 0.468 0.559 0.249
B10 0.556 0.459 0.749
B11 0.635 0.142 0.249
B12 0.647 0.661 0.749
B13 0.784 0.038 0.749
B14 0.823 0.749 0.249
B15 0.839 0.254 0.749
B16 0.962 0.141 0.249
B17 0.972 0.661 0.749
C1 0.039 0.849 0.750
C2 0.568 0.945 0.249
C3 0.764 0.554 0.248

Entry 7:
The following is a calculated X-ray powder pattern of Na5B9C. It was derived from a crystal structure in Alexandria, relaxed with PBE, using λ = 1.5418 Å (Cu Kα).

Most intense lines, 2θ from 10° to 90°, most intense first:
d 2.224, 2θ 40.56, intensity 100
d 2.203, 2θ 40.97, intensity 51
d 2.168, 2θ 41.65, intensity 36
d 2.591, 2θ 34.62, intensity 21
d 1.483, 2θ 62.65, intensity 17
d 1.224, 2θ 78.07, intensity 17
d 1.262, 2θ 75.27, intensity 12
d 1.241, 2θ 76.78, intensity 12
d 1.663, 2θ 55.24, intensity 11
d 2.557, 2θ 35.09, intensity 9

Structure:
a = 5.115 Å, b = 8.674 Å, c = 7.936 Å
α = 90.00°, β = 108.80°, γ = 90.00°
Fractional coordinates of all 30 atoms:
Na1 0.000 0.000 0.000
Na2 0.000 0.500 0.000
Na3 0.200 0.000 0.400
Na4 0.200 0.500 0.400
Na5 0.403 0.001 0.800
Na6 0.403 0.499 0.800
Na7 0.597 0.501 0.200
Na8 0.597 0.999 0.200
Na9 0.800 0.000 0.600
Na10 0.800 0.500 0.600
B1 0.072 0.750 0.782
B2 0.081 0.250 0.801
B3 0.110 0.250 0.582
B4 0.261 0.250 0.198
B5 0.268 0.750 0.205
B6 0.320 0.750 0.000
B7 0.337 0.250 0.006
B8 0.461 0.750 0.600
B9 0.464 0.250 0.602
B10 0.536 0.750 0.398
B11 0.539 0.250 0.400
B12 0.663 0.750 0.994
B13 0.680 0.250 0.000
B14 0.732 0.250 0.795
B15 0.739 0.750 0.802
B16 0.890 0.750 0.418
B17 0.919 0.750 0.199
B18 0.928 0.250 0.218
C1 0.142 0.750 0.600
C2 0.858 0.250 0.400

Entry 8:
The following is a calculated X-ray powder pattern of Na10B17C3. It was derived from a crystal structure in Alexandria, relaxed with PBE, using λ = 1.5418 Å (Cu Kα).

Most intense lines, 2θ from 10° to 90°, most intense first:
d 2.205, 2θ 40.92, intensity 100
d 2.155, 2θ 41.93, intensity 24
d 2.567, 2θ 34.96, intensity 20
d 1.482, 2θ 62.69, intensity 18
d 1.221, 2θ 78.30, intensity 17
d 1.254, 2θ 75.90, intensity 12
d 1.230, 2θ 77.63, intensity 11
d 1.650, 2θ 55.70, intensity 11
d 1.401, 2θ 66.75, intensity 2
d 1.283, 2θ 73.84, intensity 2

Structure:
a = 8.619 Å, b = 7.844 Å, c = 7.844 Å
α = 141.81°, β = 90.00°, γ = 90.00°
Fractional coordinates of all 30 atoms:
Na1 0.245 0.000 0.000
Na2 0.248 0.197 0.796
Na3 0.248 0.796 0.197
Na4 0.249 0.400 0.600
Na5 0.249 0.600 0.400
Na6 0.751 0.400 0.600
Na7 0.751 0.600 0.400
Na8 0.752 0.197 0.796
Na9 0.752 0.796 0.197
Na10 0.755 0.000 0.000
B1 0.000 0.060 0.263
B2 0.000 0.139 0.549
B3 0.000 0.263 0.060
B4 0.000 0.354 0.354
B5 0.000 0.549 0.139
B6 0.000 0.720 0.922
B7 0.000 0.922 0.720
B8 0.500 0.075 0.265
B9 0.500 0.114 0.520
B10 0.500 0.265 0.075
B11 0.500 0.345 0.345
B12 0.500 0.457 0.852
B13 0.500 0.520 0.114
B14 0.500 0.684 0.684
B15 0.500 0.730 0.939
B16 0.500 0.852 0.457
B17 0.500 0.939 0.730
C1 0.000 0.464 0.864
C2 0.000 0.660 0.660
C3 0.000 0.864 0.464

Entry 9:
The following is a calculated X-ray powder pattern of Na10B17C3. It was derived from a crystal structure in Alexandria, relaxed with PBE, using λ = 1.5418 Å (Cu Kα).

Most intense lines, 2θ from 10° to 90°, most intense first:
d 2.172, 2θ 41.58, intensity 100
d 2.265, 2θ 39.80, intensity 36
d 1.503, 2θ 61.73, intensity 13
d 1.236, 2θ 77.19, intensity 13
d 2.508, 2θ 35.80, intensity 13
d 1.254, 2θ 75.87, intensity 11
d 2.654, 2θ 33.77, intensity 10
d 1.642, 2θ 56.01, intensity 7
d 1.205, 2θ 79.57, intensity 7
d 1.190, 2θ 80.75, intensity 6

Structure:
a = 7.593 Å, b = 7.593 Å, c = 9.142 Å
α = 106.97°, β = 106.97°, γ = 40.93°
Fractional coordinates of all 30 atoms:
Na1 0.051 0.050 0.252
Na2 0.150 0.152 0.754
Na3 0.250 0.250 0.250
Na4 0.348 0.350 0.746
Na5 0.449 0.449 0.247
Na6 0.551 0.551 0.753
Na7 0.650 0.652 0.254
Na8 0.750 0.750 0.750
Na9 0.848 0.850 0.246
Na10 0.950 0.949 0.748
B1 0.040 0.365 0.500
B2 0.130 0.870 0.500
B3 0.132 0.477 0.000
B4 0.255 0.557 0.500
B5 0.319 0.681 0.000
B6 0.352 0.038 0.500
B7 0.443 0.745 0.500
B8 0.459 0.151 0.000
B9 0.523 0.868 0.000
B10 0.580 0.231 0.500
B11 0.635 0.960 0.500
B12 0.649 0.351 0.000
B13 0.769 0.420 0.500
B14 0.773 0.037 0.000
B15 0.849 0.541 0.000
B16 0.962 0.648 0.500
B17 0.963 0.227 0.000
C1 0.065 0.740 0.000
C2 0.260 0.935 0.000
C3 0.836 0.164 0.500